Structure and calculated powder XRD pattern of PaCdHgO5 (a DFT-relaxed cell (GGA-PBE, Alexandria); Cu Ka).
Lines closer than 0.1° are merged.

Structure:
```
data_PaCdHgO5
_cell_length_a 8.3064
_cell_length_b 9.2311
_cell_length_c 8.4644
_cell_angle_alpha 90.00
_cell_angle_beta 118.34
_cell_angle_gamma 90.00
_symmetry_space_group_name_H-M 'C 1 2/c 1'
_symmetry_Int_Tables_number 15
_symmetry_space_group_name_Hall '-C 2yc'
loop_
_atom_site_label
_atom_site_fract_x
_atom_site_fract_y
_atom_site_fract_z
_atom_site_occupancy
Pa1 0.2500 0.2500 0.0000 1
Cd1 0.0000 0.0508 0.2500 1
Hg1 0.0000 0.4186 0.2500 1
O1 0.0000 0.1964 0.7500 1
O2 0.1024 0.2259 0.1441 1
O3 0.2206 0.4825 0.9867 1
```

Largest 10 diffraction maxima, low angle first, 2θ = 10–80°:
22.83°, 3.895 Å, intensity 100; 24.73°, 3.600 Å, intensity 90; 30.85°, 2.899 Å, intensity 44; 31.21°, 2.866 Å, intensity 43; 31.62°, 2.829 Å, intensity 79; 33.57°, 2.670 Å, intensity 26; 34.25°, 2.618 Å, intensity 25; 42.06°, 2.148 Å, intensity 27; 48.07°, 1.893 Å, intensity 44; 53.32°, 1.718 Å, intensity 19